SrSnS3: computed powder diffractogram (Cu Kα (weighted mean of Kα1 and Kα2)), based on DFT lattice parameters and positions (GGA-PBE).

Most intense lines, 2θ from 10° to 80°, by angle:
- 2θ 21.50, I 35, (1 0 3)
- 2θ 22.04, I 28, (2 0 1)
- 2θ 25.92, I 71, (1 1 1)
- 2θ 27.20, I 37, (1 0 4)
- 2θ 28.13, I 26, (1 1 2)
- 2θ 31.90, I 64, (2 1 1)
- 2θ 33.21, I 32, (1 0 5)
- 2θ 33.76, I 100, (2 1 2)
- 2θ 39.15, I 52, (0 1 5)
- 2θ 46.50, I 35, (0 2 0)
- 2θ 47.36, I 58, (3 1 4)
- 2θ 51.81, I 28, (1 1 7)

Crystal structure
```
20
Lattice="8.4087 0.0000 0.0000 0.0000 3.9063 0.0000 0.0000 0.0000 14.2391" Properties=species:S:1:pos:R:3 pbc="T T T"
Sr 0.5693 0.9766 2.4962
Sr 3.6351 2.9297 9.6158
Sr 4.7736 0.9766 4.6233
Sr 7.8394 2.9297 11.7429
Sn 1.4209 2.9297 6.3007
Sn 2.7835 0.9766 13.4203
Sn 5.6252 2.9297 0.8188
Sn 6.9878 0.9766 7.9384
S 0.2462 2.9297 8.6185
S 1.2917 2.9297 0.0760
S 1.7659 0.9766 11.1750
S 2.4384 2.9297 4.0555
S 2.9127 0.9766 7.1955
S 3.9582 0.9766 1.4989
S 4.4505 2.9297 12.7402
S 5.4960 2.9297 7.0436
S 5.9703 0.9766 10.1836
S 6.6427 2.9297 3.0641
S 7.1170 0.9766 14.1631
S 8.1625 0.9766 5.6206
```